Calculated PXRD pattern
Compound: Li2Cr2H4O9
Radiation: copper Kα
Structure: a crystal structure in Alexandria, relaxed with PBE+U

Crystal structure
a = 7.5948 Å, b = 7.8040 Å, c = 13.0809 Å
α = 90.00°, β = 95.73°, γ = 90.00°
Space group C2/c (No. 15)
Inequivalent atoms, fractional coordinates:
Li (0.0000, 0.2361, 0.2500)
Li (0.2500, 0.2500, 0.5000)
Cr (0.1230, 0.1326, 0.8586)
H (0.0122, 0.4313, 0.1024)
H (0.1599, 0.4893, 0.3526)
O (0.0000, 0.0307, 0.7500)
O (0.0134, 0.1984, 0.5622)
O (0.0951, 0.3851, 0.3704)
O (0.2371, 0.2942, 0.8193)
O (0.2414, 0.4895, 0.5864)

Principal peaks in the range 2θ = 10–80°, sorted by position:
two_theta, I/Imax, hkl
16.33, 55, 1 1 0
17.24, 100, 1 1 -1
20.54, 70, 1 1 -2
23.81, 96, 0 2 1
26.06, 62, 2 0 -2
27.22, 90, 1 1 3
27.41, 56, 0 0 4
33.23, 58, 2 2 -1